Calculated powder diffraction line list
Compound: NaTiS2
Radiation: Cu Kα
Structure: a structure optimized by DFT (GGA-PBE)

Unit cell a=7.092 b=7.092 c=7.092 alpha=29.13 beta=29.13 gamma=29.13
Element x y z (fractional)
Na  0.000  0.000  0.000
Ti  0.831  0.831  0.831
S  0.234  0.234  0.234
S  0.428  0.428  0.428

Main lines, by intensity (5 to 70 degrees two-theta):
2θ/deg  intensity
36.5  100.0
13.0  49.3
51.2  39.3
30.2  38.9
42.7  29.2
53.9  19.4
64.5  16.1
46.2  6.6
54.0  6.4
68.8  6.2